# Mg2InN2
Simulated powder XRD pattern, λ = 1.5418 Å (Cu Kα). Input: a crystal structure in the Materials Project, relaxed with GGA-PBE.
Peak positions follow from Bragg's law for the DFT cell and can differ from measured ones.

Main lines, sorted by position (15° ≤ 2θ ≤ 90°):
2θ (°)	I/Imax
28.75	21
32.09	100
40.66	54
42.77	13
50.94	26
61.48	15
66.17	11
67.12	11
68.63	18
83.82	12

Structural model:
```
data_Mg2InN2
_cell_length_a 3.5857
_cell_length_b 3.5857
_cell_length_c 6.3434
_cell_angle_alpha 90.00
_cell_angle_beta 90.00
_cell_angle_gamma 120.00
_symmetry_space_group_name_H-M 'P -3 m 1'
_symmetry_Int_Tables_number 164
_symmetry_space_group_name_Hall '-P 3 2"'
loop_
_atom_site_label
_atom_site_type_symbol
_atom_site_fract_x
_atom_site_fract_y
_atom_site_fract_z
_atom_site_occupancy
Mg1 Mg 0.3333 0.6667 0.3523 1
In1 In 0.0000 0.0000 0.0000 1
N1 N 0.3333 0.6667 0.7105 1
```

# Mg3In2N4
Simulated powder XRD pattern, λ = 1.5418 Å (Cu Kα). Input: a crystal structure in the Materials Project, relaxed with GGA-PBE.
Peak positions follow from Bragg's law for the DFT cell and can differ from measured ones.

Main lines, sorted by position (15° ≤ 2θ ≤ 90°):
2θ (°)	I/Imax
18.62	42
20.57	79
25.58	65
29.88	56
32.25	100
33.34	53
34.35	78
35.39	38
40.71	49
45.17	47

Structural model:
```
data_Mg3In2N4
_cell_length_a 9.5389
_cell_length_b 8.8646
_cell_length_c 5.6338
_cell_angle_alpha 90.00
_cell_angle_beta 92.54
_cell_angle_gamma 90.00
_symmetry_space_group_name_H-M 'C 1 2/c 1'
_symmetry_Int_Tables_number 15
loop_
_symmetry_equiv_pos_as_xyz
'x,y,z'
'-x,-y,-z'
'-x,y,-z+1/2'
'x,-y,z+1/2'
'x+1/2,y+1/2,z'
'-x+1/2,-y+1/2,-z'
'-x+1/2,y+1/2,-z+1/2'
'x+1/2,-y+1/2,z+1/2'
loop_
_atom_site_label
_atom_site_type_symbol
_atom_site_fract_x
_atom_site_fract_y
_atom_site_fract_z
_atom_site_occupancy
Mg1 Mg 0.0000 0.2080 0.2500 1
Mg2 Mg 0.1187 0.3982 0.6017 1
In1 In 0.1726 0.1207 0.8530 1
N1 N 0.0992 0.3496 0.9873 1
N2 N 0.1612 0.1123 0.4667 1
```

# Na3MgInP2SO12
Simulated powder XRD pattern, λ = 1.5418 Å (Cu Kα). Input: a crystal structure in the Materials Project, relaxed with GGA-PBE.
Peak positions follow from Bragg's law for the DFT cell and can differ from measured ones.

Main lines, sorted by position (15° ≤ 2θ ≤ 90°):
2θ (°)	I/Imax
19.55	57
19.66	20
22.98	18
23.04	32
27.84	26
31.14	100
34.31	45
34.44	15
47.09	30
51.28	15

Structural model:
```
data_Na3MgInP2SO12
_cell_length_a 15.6238
_cell_length_b 9.0627
_cell_length_c 9.0850
_cell_angle_alpha 90.00
_cell_angle_beta 125.04
_cell_angle_gamma 90.00
_symmetry_space_group_name_H-M 'C 1 c 1'
_symmetry_Int_Tables_number 9
loop_
_symmetry_equiv_pos_as_xyz
'x,y,z'
'x,-y,z+1/2'
'x+1/2,y+1/2,z'
'x+1/2,-y+1/2,z+1/2'
loop_
_atom_site_label
_atom_site_type_symbol
_atom_site_fract_x
_atom_site_fract_y
_atom_site_fract_z
_atom_site_occupancy
Na1 Na 0.0000 0.0637 0.0000 1
Na2 Na 0.3604 0.0719 0.0008 1
Na3 Na 0.4261 0.2646 0.7519 1
Mg1 Mg 0.2873 0.2554 0.3174 1
In1 In 0.0967 0.2484 0.7232 1
P1 P 0.1915 0.0503 0.5188 1
P2 P 0.3436 0.4003 0.0294 1
S1 S 0.0388 0.3990 0.0129 1
O1 O 0.0281 0.3790 0.8399 1
O2 O 0.0289 0.4389 0.5300 1
O3 O 0.1127 0.1491 0.5274 1
O4 O 0.1153 0.0431 0.8452 1
O5 O 0.1367 0.3355 0.1643 1
O6 O 0.2464 0.3296 0.8589 1
O7 O 0.2563 0.0521 0.1836 1
O8 O 0.2678 0.1416 0.4989 1
O9 O 0.3485 0.3650 0.1988 1
O10 O 0.3518 0.4320 0.5089 1
O11 O 0.4353 0.3212 0.0321 1
O12 O 0.4504 0.1742 0.5044 1
```